Entry 1:
The following is a simulated powder XRD pattern of Mg3GaPd. It was derived from the PBE geometry in Alexandria, using Cu Kα.

Crystal structure
```
data_Mg3GaPd
_chemical_formula_sum 'Mg6 Ga2 Pd2'
_cell_length_a 4.4931
_cell_length_b 7.9598
_cell_length_c 5.3904
_cell_angle_alpha 90.00
_cell_angle_beta 90.00
_cell_angle_gamma 90.00
_symmetry_space_group_name_H-M 'P m m n'
_symmetry_Int_Tables_number 59
loop_
_symmetry_equiv_pos_as_xyz
'x,y,z'
'-x,-y,-z'
'-x+1/2,-y+1/2,z'
'x+1/2,y+1/2,-z'
'x+1/2,-y,-z'
'-x+1/2,y,z'
'-x,y+1/2,-z'
'x,-y+1/2,z'
loop_
_atom_site_label
_atom_site_type_symbol
_atom_site_fract_x
_atom_site_fract_y
_atom_site_fract_z
Mg1 Mg 0.2500 0.0569 0.2275
Mg2 Mg 0.2500 0.2500 0.7423
Ga1 Ga 0.2500 0.7500 0.5335
Pd1 Pd 0.2500 0.7500 0.0008
```

Top 12 peaks for 15 to 90 degrees two-theta, by angle:
h k l, 2θ (°), Rel. int.
0 2 0, 22.34, 72
1 1 0, 22.73, 92
1 2 1, 34.39, 21
1 3 0, 39.44, 46
2 0 0, 40.14, 36
0 2 2, 40.42, 37
1 1 2, 40.65, 100
0 4 0, 45.59, 17
2 2 0, 46.41, 20
1 3 2, 52.51, 24
2 2 2, 58.28, 25
1 5 2, 72.03, 23

***

Entry 2:
The following is a simulated powder XRD pattern of CaPr2Sm8. It was derived from the PBE geometry in Alexandria, using Cu Kα.

Crystal structure
```
data_CaPr2Sm8
_chemical_formula_sum 'Ca2 Pr4 Sm16'
_cell_length_a 5.6841
_cell_length_b 8.5878
_cell_length_c 15.9688
_cell_angle_alpha 90.00
_cell_angle_beta 90.00
_cell_angle_gamma 90.00
_symmetry_space_group_name_H-M 'I m m m'
_symmetry_Int_Tables_number 71
_symmetry_space_group_name_Hall '-I 2 2'
loop_
_atom_site_label
_atom_site_type_symbol
_atom_site_fract_x
_atom_site_fract_y
_atom_site_fract_z
Ca1 Ca 0.0000 0.0000 0.0000
Pr1 Pr 0.0000 0.0000 0.2963
Sm1 Sm 0.0000 0.1929 0.5000
Sm2 Sm 0.0000 0.2983 0.1414
Sm3 Sm 0.0000 0.5000 0.3428
```

Top 12 peaks for 15 to 90 degrees two-theta, by angle:
h k l, 2θ (°), Rel. int.
0 2 2, 23.52, 13
1 1 4, 29.25, 31
1 2 3, 31.04, 100
2 0 0, 31.48, 38
0 3 1, 31.76, 15
1 0 5, 32.15, 18
0 0 6, 33.68, 15
2 0 6, 46.76, 11
0 3 7, 51.20, 14
3 2 3, 55.77, 19
1 5 4, 60.94, 15
2 3 7, 61.35, 16

***

Entry 3:
The following is a simulated powder XRD pattern of La6Mg2TcH. It was derived from the PBE geometry in Alexandria, using Cu Kα.

Crystal structure
```
data_La6Mg2TcH
_chemical_formula_sum 'La6 Mg2 Tc1 H1'
_cell_length_a 7.5179
_cell_length_b 7.5271
_cell_length_c 7.5468
_cell_angle_alpha 60.70
_cell_angle_beta 60.39
_cell_angle_gamma 88.48
_symmetry_space_group_name_H-M 'P -1'
_symmetry_Int_Tables_number 2
loop_
_symmetry_equiv_pos_as_xyz
'x,y,z'
'-x,-y,-z'
loop_
_atom_site_label
_atom_site_type_symbol
_atom_site_fract_x
_atom_site_fract_y
_atom_site_fract_z
La1 La 0.1821 0.1964 0.0463
La2 La 0.2764 0.7258 0.5033
La3 La 0.2882 0.7105 0.9934
Mg1 Mg 0.2349 0.2468 0.5063
Tc1 Tc 0.5000 0.0000 0.0000
H1 H 0.0000 0.5000 0.0000
```

Top 12 peaks for 15 to 90 degrees two-theta, by angle:
h k l, 2θ (°), Rel. int.
0 0 1, 16.15, 39
1 1 1, 16.46, 34
1 -1 0, 16.89, 29
2 -1 0, 27.95, 41
0 2 0, 28.36, 46
2 0 0, 28.49, 41
2 0 2, 29.15, 100
0 0 2, 32.63, 62
2 2 2, 33.27, 51
2 -2 0, 34.17, 40
2 2 4, 48.24, 22
0 4 2, 48.43, 22

***

Entry 4:
The following is a simulated powder XRD pattern of La2Nd7In2. It was derived from the PBE geometry in Alexandria, using Cu Kα.

Crystal structure
```
data_La2Nd7In2
_chemical_formula_sum 'La4 Nd14 In4'
_cell_length_a 9.2306
_cell_length_b 9.5572
_cell_length_c 8.8843
_cell_angle_alpha 90.00
_cell_angle_beta 106.22
_cell_angle_gamma 90.00
_symmetry_space_group_name_H-M 'C 1 2/m 1'
_symmetry_Int_Tables_number 12
loop_
_symmetry_equiv_pos_as_xyz
'x,y,z'
'-x,-y,-z'
'-x,y,-z'
'x,-y,z'
'x+1/2,y+1/2,z'
'-x+1/2,-y+1/2,-z'
'-x+1/2,y+1/2,-z'
'x+1/2,-y+1/2,z'
loop_
_atom_site_label
_atom_site_type_symbol
_atom_site_fract_x
_atom_site_fract_y
_atom_site_fract_z
La1 La 0.0000 0.1806 0.0000
Nd1 Nd 0.0000 0.0000 0.5000
Nd2 Nd 0.1821 0.3033 0.6629
Nd3 Nd 0.1875 0.5000 0.0093
In1 In 0.1176 0.5000 0.3386
```

Top 12 peaks for 15 to 90 degrees two-theta, by angle:
h k l, 2θ (°), Rel. int.
2 0 -2, 24.59, 15
1 3 -1, 30.66, 56
2 2 -2, 30.99, 36
0 0 3, 31.42, 100
3 1 0, 31.69, 41
3 1 -2, 33.05, 16
1 3 2, 38.29, 15
2 2 -5, 55.46, 11
3 5 0, 57.42, 15
0 6 0, 57.88, 11
5 3 -2, 58.22, 11
5 3 1, 63.62, 12